1.
The following is a theoretical powder XRD pattern of Sr4In17Au15. It was derived from a DFT-relaxed cell (GGA-PBE, the Materials Project), using λ = 1.5418 Å (Cu Kα).
No peak broadening, texture or thermal motion is included.

Principal peaks in the range 2θ from 10° to 80°, low angle first:
two_theta, d (Å), Rel. int.
30.92, 2.892, 755
36.21, 2.481, 491
38.01, 2.367, 487
38.79, 2.321, 425
40.44, 2.231, 350
41.00, 2.201, 1000

Cell: 12.851 4.401 15.359 Å, 90.00 92.01 90.00°
Fractional positions:
1 Sr 0.000 0.000 0.000
2 Sr 0.210 0.500 0.415
3 Sr 0.494 0.500 0.913
4 Sr 0.710 0.000 0.502
5 In 0.012 0.500 0.205
6 In 0.083 0.500 0.630
7 In 0.125 0.000 0.786
8 In 0.186 0.000 0.208
9 In 0.291 0.000 0.999
10 In 0.326 0.500 0.680
11 In 0.382 0.500 0.183
12 In 0.410 0.000 0.499
13 In 0.516 0.000 0.712
14 In 0.580 0.000 0.292
15 In 0.618 0.500 0.145
16 In 0.692 0.500 0.705
17 In 0.707 0.000 0.020
18 In 0.805 0.500 0.904
19 In 0.823 0.000 0.237
20 In 0.880 0.000 0.733
21 In 0.914 0.500 0.418
22 Au 0.001 0.000 0.517
23 Au 0.024 0.000 0.329
24 Au 0.181 0.500 0.086
25 Au 0.210 0.500 0.898
26 Au 0.220 0.000 0.587
27 Au 0.340 0.000 0.809
28 Au 0.364 0.000 0.312
29 Au 0.490 0.000 0.083
30 Au 0.498 0.500 0.400
31 Au 0.521 0.500 0.587
32 Au 0.686 0.000 0.834
33 Au 0.718 0.500 0.332
34 Au 0.831 0.500 0.098
35 Au 0.867 0.500 0.605
36 Au 0.994 0.500 0.822



2.
The following is a theoretical powder XRD pattern of DyTa3. It was derived from a DFT-relaxed cell (GGA-PBE, the Materials Project), using λ = 1.5418 Å (Cu Kα).
No peak broadening, texture or thermal motion is included.

Principal peaks in the range 2θ from 10° to 80°, low angle first:
two_theta, d (Å), Rel. int.
36.98, 2.431, 1000
53.30, 1.719, 177
66.64, 1.403, 363
78.74, 1.215, 114

Cell: 6.875 6.875 6.875 Å, 90.00 90.00 90.00°
Fractional positions:
1 Dy 0.000 0.000 0.000
2 Dy 0.000 0.500 0.500
3 Dy 0.500 0.000 0.500
4 Dy 0.500 0.500 0.000
5 Ta 0.000 0.000 0.500
6 Ta 0.000 0.500 0.000
7 Ta 0.250 0.250 0.250
8 Ta 0.250 0.250 0.750
9 Ta 0.250 0.750 0.250
10 Ta 0.250 0.750 0.750
11 Ta 0.500 0.000 0.000
12 Ta 0.500 0.500 0.500
13 Ta 0.750 0.250 0.250
14 Ta 0.750 0.250 0.750
15 Ta 0.750 0.750 0.250
16 Ta 0.750 0.750 0.750



3.
The following is a theoretical powder XRD pattern of NdAsS. It was derived from a DFT-relaxed cell (GGA-PBE, the Materials Project), using λ = 1.5418 Å (Cu Kα).
No peak broadening, texture or thermal motion is included.

Principal peaks in the range 2θ from 10° to 80°, low angle first:
two_theta, d (Å), Rel. int.
24.56, 3.624, 402
24.80, 3.590, 440
30.46, 2.935, 421
33.63, 2.665, 530
38.13, 2.360, 1000
46.17, 1.966, 195

Cell: 17.609 3.932 3.977 Å, 90.00 90.00 90.00°
Fractional positions:
1 Nd 0.146 0.250 0.218
2 Nd 0.354 0.750 0.718
3 Nd 0.646 0.250 0.282
4 Nd 0.854 0.750 0.782
5 As 0.002 0.250 0.709
6 As 0.498 0.750 0.209
7 As 0.502 0.250 0.791
8 As 0.998 0.750 0.291
9 S 0.186 0.750 0.718
10 S 0.314 0.250 0.218
11 S 0.686 0.750 0.782
12 S 0.814 0.250 0.282



4.
The following is a theoretical powder XRD pattern of MgSi2. It was derived from a DFT-relaxed cell (GGA-PBE, the Materials Project), using λ = 1.5418 Å (Cu Kα).
No peak broadening, texture or thermal motion is included.

Principal peaks in the range 2θ from 10° to 80°, low angle first:
two_theta, d (Å), Rel. int.
28.36, 3.147, 1000
29.60, 3.018, 760
41.84, 2.159, 691
42.62, 2.121, 766
45.35, 2.000, 720
49.12, 1.855, 863

Cell: 5.310 3.710 12.160 Å, 90.00 102.09 90.00°
Fractional positions:
1 Mg 0.000 0.000 0.000
2 Mg 0.079 0.000 0.653
3 Mg 0.374 0.500 0.241
4 Mg 0.623 0.500 0.753
5 Si 0.150 0.500 0.843
6 Si 0.215 0.000 0.383
7 Si 0.441 0.000 0.894
8 Si 0.508 0.000 0.559
9 Si 0.548 0.000 0.095
10 Si 0.757 0.500 0.522
11 Si 0.826 0.500 0.155
12 Si 0.935 0.500 0.359



5.
The following is a theoretical powder XRD pattern of KCeMg14O16. It was derived from a DFT-relaxed cell (GGA-PBE, the Materials Project), using λ = 1.5418 Å (Cu Kα).
No peak broadening, texture or thermal motion is included.

Principal peaks in the range 2θ from 10° to 80°, low angle first:
two_theta, d (Å), Rel. int.
10.04, 8.808, 345
35.08, 2.558, 381
40.22, 2.242, 552
40.99, 2.202, 1000
58.78, 1.571, 606
59.35, 1.557, 281

Cell: 8.808 8.808 4.484 Å, 90.00 90.00 90.00°
Fractional positions:
1 K 0.000 0.000 0.000
2 Ce 0.500 0.500 0.000
3 Mg 0.000 0.248 0.500
4 Mg 0.000 0.500 0.000
5 Mg 0.000 0.752 0.500
6 Mg 0.231 0.500 0.500
7 Mg 0.240 0.240 0.000
8 Mg 0.240 0.760 0.000
9 Mg 0.248 0.000 0.500
10 Mg 0.500 0.000 0.000
11 Mg 0.500 0.231 0.500
12 Mg 0.500 0.769 0.500
13 Mg 0.752 0.000 0.500
14 Mg 0.760 0.240 0.000
15 Mg 0.760 0.760 0.000
16 Mg 0.769 0.500 0.500
17 O 0.000 0.000 0.500
18 O 0.000 0.274 0.000
19 O 0.000 0.500 0.500
20 O 0.000 0.726 0.000
21 O 0.239 0.500 0.000
22 O 0.251 0.251 0.500
23 O 0.251 0.749 0.500
24 O 0.274 0.000 0.000
25 O 0.500 0.000 0.500
26 O 0.500 0.239 0.000
27 O 0.500 0.500 0.500
28 O 0.500 0.761 0.000
29 O 0.726 0.000 0.000
30 O 0.749 0.251 0.500
31 O 0.749 0.749 0.500
32 O 0.761 0.500 0.000



6.
The following is a theoretical powder XRD pattern of Tb3SmFe34. It was derived from a DFT-relaxed cell (GGA-PBE, the Materials Project), using λ = 1.5418 Å (Cu Kα).
No peak broadening, texture or thermal motion is included.

Principal peaks in the range 2θ from 10° to 80°, low angle first:
two_theta, d (Å), Rel. int.
30.12, 2.967, 398
36.55, 2.458, 420
37.90, 2.374, 275
42.46, 2.129, 622
42.79, 2.113, 1000
43.78, 2.068, 314

Cell: 6.425 6.425 12.850 Å, 96.97 96.97 83.01°
Fractional positions:
1 Tb 0.000 0.000 0.000
2 Tb 0.000 0.000 0.500
3 Tb 0.317 0.317 0.841
4 Sm 0.317 0.317 0.342
5 Fe 0.002 0.002 0.248
6 Fe 0.002 0.504 0.499
7 Fe 0.003 0.003 0.748
8 Fe 0.003 0.504 0.999
9 Fe 0.158 0.659 0.170
10 Fe 0.159 0.659 0.671
11 Fe 0.315 0.315 0.093
12 Fe 0.315 0.315 0.594
13 Fe 0.315 0.814 0.343
14 Fe 0.315 0.814 0.843
15 Fe 0.366 0.659 0.024
16 Fe 0.366 0.950 0.170
17 Fe 0.366 0.952 0.671
18 Fe 0.367 0.659 0.525
19 Fe 0.504 0.002 0.499
20 Fe 0.504 0.003 0.999
21 Fe 0.561 0.561 0.720
22 Fe 0.562 0.562 0.219
23 Fe 0.659 0.158 0.170
24 Fe 0.659 0.159 0.671
25 Fe 0.659 0.366 0.024
26 Fe 0.659 0.367 0.525
27 Fe 0.659 0.659 0.421
28 Fe 0.659 0.659 0.921
29 Fe 0.659 0.950 0.317
30 Fe 0.659 0.951 0.817
31 Fe 0.756 0.756 0.122
32 Fe 0.756 0.756 0.622
33 Fe 0.814 0.315 0.343
34 Fe 0.814 0.315 0.843
35 Fe 0.950 0.366 0.170
36 Fe 0.950 0.659 0.317
37 Fe 0.951 0.659 0.817
38 Fe 0.952 0.366 0.671